[1]
For Pm5Si2Ag, a structure optimized by DFT (PBE) gives the theoretical powder diffraction line list in this record (CuKα).

Peak list (8 most intense, 2θ = 15–90°, low angle first)
- 3.338 Å, 26.71°, intensity 49
- 3.070 Å, 29.09°, intensity 44
- 2.820 Å, 31.73°, intensity 100
- 2.707 Å, 33.09°, intensity 27
- 2.671 Å, 33.56°, intensity 85
- 2.422 Å, 37.13°, intensity 59
- 1.740 Å, 52.61°, intensity 25
- 1.624 Å, 56.66°, intensity 34

Cell lengths 9.213, 9.213, 9.213 Å; angles 130.89, 130.89, 71.99 degrees
Sites, in units of the cell vectors:
Pm: 0.000 0.000 0.000
Pm: 0.034 0.534 0.848
Pm: 0.186 0.034 0.500
Pm: 0.314 0.814 0.848
Pm: 0.466 0.314 0.500
Pm: 0.500 0.500 0.000
Pm: 0.534 0.686 0.500
Pm: 0.686 0.186 0.152
Pm: 0.814 0.966 0.500
Pm: 0.966 0.466 0.152
Si: 0.117 0.383 0.500
Si: 0.383 0.883 0.266
Si: 0.617 0.117 0.734
Si: 0.883 0.617 0.500
Ag: 0.250 0.250 0.000
Ag: 0.750 0.750 0.000

[2]
For Ca8GePt2, a structure optimized by DFT (PBE) gives the theoretical powder diffraction line list in this record (CuKα).

Peak list (8 most intense, 2θ = 15–90°, low angle first)
- 5.623 Å, 15.76°, intensity 100
- 4.343 Å, 20.45°, intensity 68
- 4.284 Å, 20.73°, intensity 68
- 3.932 Å, 22.61°, intensity 61
- 3.056 Å, 29.23°, intensity 70
- 2.836 Å, 31.54°, intensity 51
- 2.420 Å, 37.15°, intensity 65
- 2.377 Å, 37.85°, intensity 55

Cell lengths 8.001, 8.001, 5.828 Å; angles 98.51, 98.51, 111.52 degrees
Sites, in units of the cell vectors:
Ca: 0.000 0.000 0.000
Ca: 0.036 0.303 0.594
Ca: 0.133 0.597 0.193
Ca: 0.303 0.036 0.594
Ca: 0.434 0.700 0.770
Ca: 0.597 0.133 0.193
Ca: 0.700 0.434 0.770
Ca: 0.737 0.737 0.389
Ge: 0.367 0.367 0.302
Pt: 0.057 0.686 0.696
Pt: 0.686 0.057 0.696